# KLiCrO4
Simulated powder XRD pattern, Cu Ka. Input: a cell relaxed with GGA+U.

Cell lengths 8.489, 19.765, 5.277 Å; angles 90.00, 90.00, 90.00 degrees
Sites, in units of the cell vectors:
K1 0.019 0.235 0.000
K2 0.174 0.552 0.473
K3 0.326 0.052 0.973
K4 0.481 0.735 0.500
K5 0.519 0.265 0.000
K6 0.674 0.948 0.473
K7 0.826 0.448 0.973
K8 0.981 0.765 0.500
Li1 0.002 0.057 0.452
Li2 0.192 0.345 0.453
Li3 0.308 0.845 0.953
Li4 0.498 0.557 0.952
Li5 0.502 0.443 0.452
Li6 0.692 0.155 0.453
Li7 0.808 0.655 0.953
Li8 0.998 0.943 0.952
Cr1 0.205 0.677 0.954
Cr2 0.217 0.928 0.456
Cr3 0.283 0.428 0.956
Cr4 0.295 0.177 0.454
Cr5 0.705 0.823 0.954
Cr6 0.717 0.572 0.456
Cr7 0.783 0.072 0.956
Cr8 0.795 0.323 0.454
O1 0.031 0.651 0.847
O2 0.055 0.962 0.323
O3 0.134 0.480 0.910
O4 0.153 0.126 0.349
O5 0.192 0.919 0.771
O6 0.206 0.679 0.267
O7 0.237 0.755 0.844
O8 0.246 0.354 0.822
O9 0.254 0.854 0.322
O10 0.263 0.255 0.344
O11 0.294 0.179 0.767
O12 0.308 0.419 0.271
O13 0.347 0.626 0.849
O14 0.366 0.980 0.410
O15 0.445 0.462 0.823
O16 0.469 0.151 0.347
O17 0.531 0.849 0.847
O18 0.555 0.538 0.323
O19 0.634 0.020 0.910
O20 0.653 0.374 0.349
O21 0.692 0.581 0.771
O22 0.706 0.821 0.267
O23 0.737 0.745 0.844
O24 0.746 0.146 0.822
O25 0.754 0.646 0.322
O26 0.763 0.245 0.344
O27 0.794 0.321 0.767
O28 0.808 0.081 0.271
O29 0.847 0.874 0.849
O30 0.866 0.520 0.410
O31 0.945 0.038 0.823
O32 0.969 0.349 0.347

Principal peaks in the range 2θ = 15–90°, by intensity:
2θ/deg, I/Imax
28.21, 100
30.24, 94
20.80, 76
20.93, 56
20.32, 55
33.97, 47
24.01, 32
21.57, 29
28.46, 22
27.34, 21


# K8Li9Cr4O16
Simulated powder XRD pattern, Cu Ka. Input: a cell relaxed with GGA+U.

Cell lengths 5.608, 9.127, 10.485 Å; angles 88.31, 80.98, 89.66 degrees
Sites, in units of the cell vectors:
K1 0.000 0.000 0.000
K2 0.006 0.242 0.483
K3 0.272 0.228 0.780
K4 0.296 0.463 0.255
K5 0.474 0.732 0.002
K6 0.538 0.020 0.504
K7 0.752 0.464 0.751
K8 0.815 0.727 0.268
Li1 0.033 0.705 0.837
Li2 0.059 0.988 0.323
Li3 0.228 0.484 0.939
Li4 0.229 0.763 0.433
Li5 0.373 0.252 0.055
Li6 0.478 0.750 0.688
Li7 0.575 0.984 0.832
Li8 0.729 0.487 0.434
Li9 0.936 0.224 0.200
Cr1 0.303 0.525 0.577
Cr2 0.475 0.017 0.191
Cr3 0.817 0.448 0.072
Cr4 0.984 0.937 0.679
O1 0.045 0.537 0.495
O2 0.048 0.937 0.505
O3 0.056 0.299 0.019
O4 0.257 0.916 0.755
O5 0.258 0.557 0.750
O6 0.259 0.158 0.250
O7 0.319 0.848 0.251
O8 0.473 0.359 0.547
O9 0.499 0.037 0.016
O10 0.500 0.674 0.506
O11 0.526 0.445 0.000
O12 0.761 0.028 0.250
O13 0.767 0.805 0.765
O14 0.806 0.420 0.256
O15 0.831 0.107 0.721
O16 0.966 0.634 0.008

Principal peaks in the range 2θ = 15–90°, by intensity:
2θ/deg, I/Imax
34.26, 100
34.66, 98
19.46, 92
33.82, 74
21.77, 62
34.08, 60
58.46, 59
33.59, 47
21.56, 46
39.52, 46


# KMg6CrO8
Simulated powder XRD pattern, Cu Ka. Input: a cell relaxed with GGA+U.

Cell lengths 4.445, 4.445, 8.705 Å; angles 90.00, 90.00, 90.00 degrees
Sites, in units of the cell vectors:
K1 0.000 0.000 0.000
Mg1 0.000 0.500 0.244
Mg2 0.000 0.500 0.756
Mg3 0.500 0.000 0.244
Mg4 0.500 0.000 0.756
Mg5 0.500 0.500 0.000
Mg6 0.500 0.500 0.500
Cr1 0.000 0.000 0.500
O1 0.000 0.000 0.278
O2 0.000 0.000 0.722
O3 0.000 0.500 0.000
O4 0.000 0.500 0.500
O5 0.500 0.000 0.000
O6 0.500 0.000 0.500
O7 0.500 0.500 0.254
O8 0.500 0.500 0.746

Principal peaks in the range 2θ = 15–90°, by intensity:
2θ/deg, I/Imax
40.60, 100
59.45, 52
41.49, 44
35.22, 29
58.76, 28
74.48, 24
70.39, 10
19.98, 9
28.71, 8
87.86, 8


# KMg6CrO8
Simulated powder XRD pattern, Cu Ka. Input: a cell relaxed with GGA+U.

Cell lengths 4.415, 4.415, 8.739 Å; angles 90.00, 90.00, 90.00 degrees
Sites, in units of the cell vectors:
K1 0.000 0.000 0.000
Mg1 0.000 0.000 0.500
Mg2 0.000 0.500 0.254
Mg3 0.000 0.500 0.746
Mg4 0.500 0.000 0.254
Mg5 0.500 0.000 0.746
Mg6 0.500 0.500 0.500
Cr1 0.500 0.500 0.000
O1 0.000 0.000 0.276
O2 0.000 0.000 0.724
O3 0.000 0.500 0.000
O4 0.000 0.500 0.500
O5 0.500 0.000 0.000
O6 0.500 0.000 0.500
O7 0.500 0.500 0.238
O8 0.500 0.500 0.762

Principal peaks in the range 2θ = 15–90°, by intensity:
2θ/deg, I/Imax
40.88, 100
59.53, 53
41.33, 46
35.33, 30
59.19, 28
74.74, 24
70.85, 10
88.59, 8
30.40, 6
71.47, 6